This entry pairs a crystal structure of KTbCr2O8 with its computed powder diffractogram. Radiation: CuKα. Structure: the PBE+U geometry in Alexandria.

The 10 most intense peaks (2θ from 15° to 90°), low angle first:
2θ/deg  d_spacing  intensity  (hkl)
15.95  5.558  100  0 1 2
18.02  4.922  56  1 1 0
19.10  4.647  21  0 2 0
25.36  3.513  87  1 2 1
25.73  3.462  54  0 0 4
27.74  3.216  84  1 2 2
30.85  2.899  38  2 0 0
31.34  2.854  49  1 2 3
31.58  2.833  27  1 1 4
46.64  1.947  34  1 3 5

Cell and atoms:
Cell: 5.798 9.317 13.849 Å, 90.00 90.00 90.00°
Space group P2_12_12_1 (No. 19)
One atom of each set of equivalent atoms:
K 0.207 0.108 0.094
Tb 0.221 0.452 0.643
Cr 0.225 0.320 0.383
Cr 0.230 0.146 0.838
O 0.000 0.153 0.912
O 0.014 0.201 0.394
O 0.021 0.762 0.890
O 0.032 0.889 0.403
O 0.166 0.010 0.766
O 0.198 0.398 0.275
O 0.202 0.443 0.469
O 0.241 0.699 0.280